Calculated powder XRD pattern
Compound: TiAlCu2
Radiation: a wavelength of 1.5418 Å
Structure: the GGA-PBE geometry in the Materials Project

Top 10 peaks for 2θ from 15° to 90°, most intense first:
(hkl), d (Å), 2θ/deg, I (rel.)
1 0 2, 2.180, 41.42, 100.0
1 1 0, 2.028, 44.67, 40.9
2 1 2, 1.198, 80.09, 25.0
1 1 4, 1.293, 73.23, 14.9
2 0 0, 1.434, 65.02, 12.2
1 0 0, 2.869, 31.18, 10.3
0 0 4, 1.677, 54.73, 9.6
0 0 2, 3.354, 26.57, 6.9
1 0 1, 2.638, 33.99, 4.9
1 1 2, 1.736, 52.74, 4.2

Structural model:
a b c (Å): 2.869 2.869 6.708
angles (deg): 90.00 90.00 90.00
Fractional positions:
Ti (0.000, 0.000, 0.000)
Al (0.000, 0.000, 0.500)
Cu (0.500, 0.500, 0.267)
Cu (0.500, 0.500, 0.733)